Entry 1:
# Ce5Bi2Rh
Computed powder diffraction line list, Cu Kα X-rays. Input: a crystal structure in Alexandria, relaxed with PBE.

Structure:
abc: 7.987 12.587 4.670
angles: 90.00 90.00 90.00
Space group Pbam (No. 55)
Asymmetric unit:
Ce (0.000, 0.000, 0.000) x2
Ce (0.121, 0.305, 0.000) x4
Ce (0.212, 0.556, 0.500) x4
Bi (0.091, 0.820, 0.500) x4
Rh (0.000, 0.500, 0.000) x2

The 8 most intense peaks (10 to 90 degrees two-theta), low angle first:
| d [Å] | 2theta | I (rel.) | hkl |
| --- | --- | --- | --- |
| 2.951 | 30.29 | 100 | 2 1 1 |
| 2.928 | 30.54 | 53 | 1 4 0 |
| 2.907 | 30.76 | 76 | 1 3 1 |
| 2.734 | 32.76 | 55 | 2 2 1 |
| 2.452 | 36.65 | 25 | 3 2 0 |
| 2.335 | 38.55 | 47 | 0 0 2 |
| 2.135 | 42.33 | 21 | 1 5 1 |
| 1.826 | 49.96 | 27 | 1 4 2 |

Entry 2:
# La2MgGeAu6
Computed powder diffraction line list, Cu Kα X-rays. Input: a crystal structure in Alexandria, relaxed with PBE.

Structure:
abc: 5.242 5.706 8.204
angles: 102.24 104.40 101.44
Space group P-1 (No. 2)
Asymmetric unit:
La (0.068, 0.329, 0.186) x2
Mg (0.500, 0.000, 0.500) x1
Ge (0.500, 0.500, 0.000) x1
Au (0.046, 0.151, 0.685) x2
Au (0.316, 0.565, 0.592) x2
Au (0.428, 0.941, 0.150) x2

The 8 most intense peaks (10 to 90 degrees two-theta), low angle first:
| d [Å] | 2theta | I (rel.) | hkl |
| --- | --- | --- | --- |
| 3.075 | 29.04 | 37 | 1 1 -2 |
| 2.898 | 30.85 | 31 | -1 1 2 |
| 2.787 | 32.11 | 47 | 0 2 -1 |
| 2.771 | 32.30 | 37 | 1 -1 2 |
| 2.646 | 33.88 | 79 | 1 0 2 |
| 2.488 | 36.09 | 100 | 1 1 -3 |
| 2.225 | 40.55 | 48 | -1 1 3 |
| 2.167 | 41.68 | 33 | 2 1 -1 |

Entry 3:
# PaAl4
Computed powder diffraction line list, Cu Kα X-rays. Input: a crystal structure in Alexandria, relaxed with PBE.

Structure:
abc: 4.403 6.328 13.728
angles: 90.00 90.00 90.00
Space group Imma (No. 74)
Asymmetric unit:
Pa (0.000, 0.250, 0.115) x4
Al (0.000, 0.000, 0.500) x4
Al (0.000, 0.033, 0.698) x8
Al (0.000, 0.250, 0.890) x4

The 8 most intense peaks (10 to 90 degrees two-theta), low angle first:
| d [Å] | 2theta | I (rel.) | hkl |
| --- | --- | --- | --- |
| 5.747 | 15.42 | 68 | 0 1 1 |
| 4.192 | 21.19 | 49 | 1 0 1 |
| 3.708 | 24.00 | 49 | 0 1 3 |
| 3.432 | 25.96 | 29 | 0 0 4 |
| 3.198 | 27.90 | 100 | 1 1 2 |
| 3.168 | 28.17 | 36 | 0 2 0 |
| 2.525 | 35.56 | 76 | 1 2 1 |
| 2.328 | 38.68 | 90 | 1 0 5 |